(1)
The following is a computed X-ray diffraction stick pattern of YPd3C. It was derived from a GGA-PBE-relaxed structure, using copper Kα.

```
YPd3C
1.0
4.300 0.000 0.000
0.000 4.300 0.000
0.000 0.000 4.300
Y Pd C
1 3 1
direct
0.000 0.000 0.000 Y
0.000 0.500 0.500 Pd
0.500 0.000 0.500 Pd
0.500 0.500 0.000 Pd
0.500 0.500 0.500 C
```

Most intense lines, 2θ from 5° to 70°, in order of falling intensity:
| 2θ/deg | I (rel.) |
| --- | --- |
| 36.19 | 100 |
| 42.03 | 54 |
| 60.95 | 35 |
| 20.66 | 2 |
| 47.27 | 1 |


(2)
The following is a computed X-ray diffraction stick pattern of Pr2ReC2. It was derived from a GGA-PBE-relaxed structure, using copper Kα.

```
Pr2ReC2
1.0
6.743 0.000 0.000
0.000 5.413 0.000
0.000 0.000 10.323
Pr Re C
8 4 8
direct
0.025 0.250 0.214 Pr
0.190 0.250 0.550 Pr
0.310 0.750 0.050 Pr
0.475 0.750 0.714 Pr
0.525 0.250 0.286 Pr
0.690 0.250 0.950 Pr
0.810 0.750 0.450 Pr
0.975 0.750 0.786 Pr
0.232 0.250 0.856 Re
0.268 0.750 0.356 Re
0.732 0.250 0.644 Re
0.768 0.750 0.144 Re
0.032 0.750 0.242 C
0.189 0.750 0.535 C
0.311 0.250 0.035 C
0.468 0.250 0.742 C
0.532 0.750 0.258 C
0.689 0.750 0.965 C
0.811 0.250 0.465 C
0.968 0.250 0.758 C
```

Most intense lines, 2θ from 5° to 70°, in order of falling intensity:
| 2θ/deg | I (rel.) |
| --- | --- |
| 32.47 | 100 |
| 33.10 | 67 |
| 33.60 | 66 |
| 30.79 | 55 |
| 37.32 | 24 |
| 31.70 | 20 |
| 50.73 | 19 |
| 31.26 | 19 |
| 58.73 | 19 |
| 29.13 | 16 |
| 56.93 | 14 |
| 46.49 | 14 |


(3)
The following is a computed X-ray diffraction stick pattern of Pr2Re2Si2C. It was derived from a GGA-PBE-relaxed structure, using copper Kα.

```
Pr2Re2Si2C
1.0
5.620 -2.045 0.000
5.620 2.045 0.000
-4.451 0.000 5.703
Pr Re Si C
2 2 2 1
direct
0.071 0.071 0.305 Pr
0.929 0.929 0.695 Pr
0.297 0.297 0.913 Re
0.703 0.703 0.087 Re
0.348 0.348 0.297 Si
0.652 0.652 0.703 Si
0.500 0.500 0.000 C
```

Most intense lines, 2θ from 5° to 70°, in order of falling intensity:
| 2θ/deg | I (rel.) |
| --- | --- |
| 32.54 | 100 |
| 34.36 | 89 |
| 32.33 | 40 |
| 15.54 | 33 |
| 44.28 | 27 |
| 39.09 | 26 |
| 37.56 | 26 |
| 25.01 | 19 |
| 55.88 | 18 |
| 60.12 | 17 |
| 56.60 | 16 |
| 60.52 | 15 |


(4)
The following is a computed X-ray diffraction stick pattern of PrRh3C. It was derived from a GGA-PBE-relaxed structure, using copper Kα.

```
PrRh3C
1.0
4.252 0.000 0.000
0.000 4.252 0.000
0.000 0.000 4.252
Pr Rh C
1 3 1
direct
0.000 0.000 0.000 Pr
0.000 0.500 0.500 Rh
0.500 0.000 0.500 Rh
0.500 0.500 0.000 Rh
0.500 0.500 0.500 C
```

Most intense lines, 2θ from 5° to 70°, in order of falling intensity:
| 2θ/deg | I (rel.) |
| --- | --- |
| 36.60 | 100 |
| 42.52 | 54 |
| 61.70 | 35 |
| 29.71 | 3 |
| 52.73 | 1 |
| 20.89 | 1 |
| 47.83 | 1 |


(5)
The following is a computed X-ray diffraction stick pattern of PrSiRu2C. It was derived from a GGA-PBE-relaxed structure, using copper Kα.

```
PrSiRu2C
1.0
1.977 -5.583 0.000
1.977 5.583 0.000
0.000 0.000 7.253
Pr Si Ru C
2 2 4 2
direct
0.050 0.950 0.750 Pr
0.950 0.050 0.250 Pr
0.229 0.771 0.250 Si
0.771 0.229 0.750 Si
0.335 0.665 0.559 Ru
0.335 0.665 0.941 Ru
0.665 0.335 0.059 Ru
0.665 0.335 0.441 Ru
0.500 0.500 0.000 C
0.500 0.500 0.500 C
```

Most intense lines, 2θ from 5° to 70°, in order of falling intensity:
| 2θ/deg | I (rel.) |
| --- | --- |
| 34.48 | 100 |
| 33.05 | 54 |
| 35.36 | 26 |
| 40.67 | 24 |
| 29.37 | 23 |
| 45.90 | 22 |
| 61.17 | 21 |
| 63.00 | 19 |
| 26.89 | 16 |
| 55.47 | 16 |
| 44.68 | 13 |
| 58.62 | 13 |


(6)
The following is a computed X-ray diffraction stick pattern of Pr3SnC. It was derived from a GGA-PBE-relaxed structure, using copper Kα.

```
Pr3SnC
1.0
5.866 0.000 0.000
0.000 5.866 0.000
0.000 0.000 5.866
Pr Sn C
3 1 1
direct
0.000 0.000 0.500 Pr
0.000 0.500 0.000 Pr
0.500 0.000 0.000 Pr
0.000 0.000 0.000 Sn
0.500 0.500 0.500 C
```

Most intense lines, 2θ from 5° to 70°, in order of falling intensity:
| 2θ/deg | I (rel.) |
| --- | --- |
| 15.10 | 100 |
| 30.48 | 93 |
| 43.64 | 70 |
| 26.31 | 58 |
| 34.18 | 57 |
| 46.44 | 31 |
| 51.68 | 26 |
| 54.16 | 25 |
| 65.62 | 18 |
| 56.56 | 14 |
| 63.42 | 11 |
| 69.89 | 10 |